# 1
Theoretical XRD peak list of Li2CdH6Ru for Cu Kα (weighted mean of Kα1 and Kα2), from the GGA-PBE geometry in Alexandria.

Main lines, by angle (2θ = 10–90°):
d = 4.321 Å, intensity 68, hkl 1 0 0
d = 4.116 Å, intensity 100, hkl 0 0 1
d = 3.828 Å, intensity 62, hkl 1 -1 0
d = 3.005 Å, intensity 47, hkl 1 1 -1
d = 2.632 Å, intensity 24, hkl -1 1 1
d = 2.521 Å, intensity 41, hkl 1 0 1
d = 2.395 Å, intensity 25, hkl 0 2 -1
d = 2.345 Å, intensity 24, hkl 1 1 -2
d = 2.328 Å, intensity 24, hkl 2 -1 0
d = 1.920 Å, intensity 25, hkl 2 1 -1

Atomic structure:
Cell lengths 4.8507, 4.9375, 4.9623 Å; angles 115.37, 104.11, 104.00 degrees
Space group P1 (No. 1)
Unique sites:
Li (0.0000, 0.0000, 0.0000) x1
Li (0.4017, 0.6102, 0.0996) x1
Cd (0.6164, 0.3295, 0.5929) x1
H (0.0895, 0.6031, 0.7425) x1
H (0.1114, 0.7735, 0.3518) x1
H (0.2799, 0.4367, 0.3569) x1
H (0.3077, 0.1430, 0.8597) x1
H (0.6263, 0.9581, 0.0591) x1
H (0.6913, 0.9346, 0.5929) x1
Ru (0.3772, 0.8103, 0.6702) x1

=====

# 2
Theoretical XRD peak list of TbNd6Ho4 for Cu Kα (weighted mean of Kα1 and Kα2), from the GGA-PBE geometry in Alexandria.

Main lines, by angle (2θ = 10–90°):
d = 3.154 Å, intensity 47, hkl 1 1 4
d = 3.130 Å, intensity 58, hkl 2 0 2
d = 3.010 Å, intensity 33, hkl 1 0 5
d = 2.969 Å, intensity 100, hkl 2 1 1
d = 2.631 Å, intensity 71, hkl 2 0 4
d = 2.417 Å, intensity 31, hkl 1 1 6
d = 2.385 Å, intensity 30, hkl 2 2 0
d = 2.246 Å, intensity 28, hkl 2 1 5
d = 1.635 Å, intensity 22, hkl 3 2 5
d = 1.628 Å, intensity 30, hkl 4 1 1

Atomic structure:
Cell lengths 6.7446, 6.7446, 16.8206 Å; angles 90.00, 90.00, 90.00 degrees
Space group I-42m (No. 121)
Unique sites:
Tb (0.0000, 0.0000, 0.0000) x2
Nd (0.0000, 0.5000, 0.0000) x4
Nd (0.1906, 0.1906, 0.1771) x8
Ho (0.1775, 0.1775, 0.3793) x8

=====

# 3
Theoretical XRD peak list of Li3HgPb5 for Cu Kα (weighted mean of Kα1 and Kα2), from the GGA-PBE geometry in Alexandria.

Main lines, by angle (2θ = 10–90°):
d = 3.463 Å, intensity 100, hkl 2 2 -2
d = 3.249 Å, intensity 21, hkl 3 1 0
d = 3.098 Å, intensity 29, hkl 4 0 -1
d = 2.807 Å, intensity 51, hkl 2 2 1
d = 2.551 Å, intensity 25, hkl 0 0 3
d = 2.538 Å, intensity 11, hkl 4 2 -3
d = 2.479 Å, intensity 18, hkl 0 4 0
d = 2.420 Å, intensity 16, hkl 4 0 -4
d = 2.232 Å, intensity 11, hkl 1 3 2
d = 1.697 Å, intensity 12, hkl 2 2 -5

Atomic structure:
Cell lengths 13.1970, 9.9155, 9.7888 Å; angles 90.00, 128.57, 90.00 degrees
Space group C2/m (No. 12)
Unique sites:
Li (0.0000, 0.0000, 0.0000) x2
Li (0.0000, 0.0000, 0.5000) x2
Li (0.2133, 0.5000, 0.2986) x4
Li (0.2303, 0.5000, 0.7202) x4
Hg (0.1035, 0.0000, 0.3417) x4
Pb (0.0000, 0.3247, 0.0000) x4
Pb (0.0132, 0.5000, 0.3246) x4
Pb (0.1539, 0.2412, 0.6752) x8
Pb (0.2119, 0.0000, 0.9392) x4

=====

# 4
Theoretical XRD peak list of Na3Pr3OsO8 for Cu Kα (weighted mean of Kα1 and Kα2), from the GGA-PBE geometry in Alexandria.

Main lines, by angle (2θ = 10–90°):
d = 5.596 Å, intensity 100, hkl 0 0 3
d = 2.985 Å, intensity 54, hkl 0 2 1
d = 2.853 Å, intensity 54, hkl 2 0 2
d = 2.798 Å, intensity 18, hkl 0 0 6
d = 2.459 Å, intensity 74, hkl 0 2 4
d = 2.251 Å, intensity 21, hkl 2 0 5
d = 1.881 Å, intensity 19, hkl 0 2 7
d = 1.751 Å, intensity 25, hkl 2 2 0
d = 1.726 Å, intensity 23, hkl 2 0 8
d = 1.671 Å, intensity 23, hkl 2 2 3

Atomic structure:
Cell lengths 7.0055, 7.0055, 16.7879 Å; angles 90.00, 90.00, 120.00 degrees
Space group R-3m (No. 166, hexagonal axes)
Unique sites:
Na (0.0000, 0.5000, 0.0000) x9
Pr (0.0000, 0.5000, 0.5000) x9
Os (0.0000, 0.0000, 0.5000) x3
O (0.0000, 0.0000, 0.2407) x6
O (0.0418, 0.5209, 0.2339) x18

=====

# 5
Theoretical XRD peak list of NaNbAsO5 for Cu Kα (weighted mean of Kα1 and Kα2), from the GGA-PBE geometry in Alexandria.

Main lines, by angle (2θ = 10–90°):
d = 5.234 Å, intensity 50, hkl 1 1 0
d = 5.136 Å, intensity 35, hkl 1 1 -1
d = 3.590 Å, intensity 21, hkl 1 1 1
d = 3.497 Å, intensity 100, hkl 1 1 -2
d = 3.185 Å, intensity 68, hkl 2 0 0
d = 2.758 Å, intensity 69, hkl 1 3 0
d = 2.748 Å, intensity 53, hkl 0 2 2
d = 1.795 Å, intensity 20, hkl 2 2 2
d = 1.745 Å, intensity 27, hkl 3 3 0
d = 1.598 Å, intensity 20, hkl 1 3 -4

Atomic structure:
Cell lengths 7.0690, 9.1808, 7.6164 Å; angles 90.00, 115.70, 90.00 degrees
Space group C2/c (No. 15)
Unique sites:
Na (0.0000, 0.1785, 0.2500) x4
Nb (0.0000, 0.5000, 0.0000) x4
As (0.0000, 0.1834, 0.7500) x4
O (0.0000, 0.4408, 0.2500) x4
O (0.0971, 0.2919, 0.6074) x8
O (0.1897, 0.0570, 0.9041) x8

=====

# 6
Theoretical XRD peak list of LaPaAsO2 for Cu Kα (weighted mean of Kα1 and Kα2), from the GGA-PBE geometry in Alexandria.

Main lines, by angle (2θ = 10–90°):
d = 6.291 Å, intensity 10, hkl 0 0 2
d = 3.699 Å, intensity 31, hkl 1 0 1
d = 3.145 Å, intensity 10, hkl 0 0 4
d = 2.844 Å, intensity 100, hkl 1 0 3
d = 2.737 Å, intensity 45, hkl 1 1 0
d = 2.065 Å, intensity 19, hkl 1 1 4
d = 1.935 Å, intensity 22, hkl 2 0 0
d = 1.664 Å, intensity 14, hkl 1 1 6
d = 1.630 Å, intensity 10, hkl 1 0 7
d = 1.600 Å, intensity 36, hkl 2 1 3

Atomic structure:
Cell lengths 3.8702, 3.8702, 12.5815 Å; angles 90.00, 90.00, 90.00 degrees
Space group I4mm (No. 107)
Unique sites:
La (0.0000, 0.0000, 0.0000) x2
Pa (0.0000, 0.0000, 0.7143) x2
As (0.0000, 0.0000, 0.3532) x2
O (0.0000, 0.5000, 0.1204) x4

=====

# 7
Theoretical XRD peak list of Na3IrCl6 for Cu Kα (weighted mean of Kα1 and Kα2), from the GGA-PBE geometry in Alexandria.

Main lines, by angle (2θ = 10–90°):
d = 6.313 Å, intensity 41, hkl 0 0 2
d = 5.701 Å, intensity 100, hkl 1 1 1
d = 4.962 Å, intensity 27, hkl 0 2 0
d = 3.901 Å, intensity 16, hkl 0 2 2
d = 3.482 Å, intensity 47, hkl 2 0 2
d = 2.988 Å, intensity 16, hkl 1 3 1
d = 2.518 Å, intensity 20, hkl 2 0 4
d = 2.482 Å, intensity 21, hkl 0 4 0
d = 2.245 Å, intensity 22, hkl 2 2 4
d = 2.021 Å, intensity 19, hkl 2 4 2

Atomic structure:
Cell lengths 8.3501, 9.9248, 12.6258 Å; angles 90.00, 90.00, 90.00 degrees
Space group Fmmm (No. 69)
Unique sites:
Na (0.0000, 0.0000, 0.0000) x4
Na (0.2500, 0.2500, 0.2500) x8
Ir (0.0000, 0.0000, 0.5000) x4
Cl (0.0000, 0.2367, 0.5000) x8
Cl (0.2021, 0.0000, 0.3688) x16

=====

# 8
Theoretical XRD peak list of SiAg2PtO4 for Cu Kα (weighted mean of Kα1 and Kα2), from the GGA-PBE geometry in Alexandria.

Main lines, by angle (2θ = 10–90°):
d = 4.372 Å, intensity 36, hkl 1 0 1
d = 4.174 Å, intensity 20, hkl 1 1 0
d = 3.323 Å, intensity 55, hkl 0 0 2
d = 3.004 Å, intensity 69, hkl 0 2 0
d = 2.476 Å, intensity 18, hkl 1 2 1
d = 2.432 Å, intensity 100, hkl 2 1 1
d = 2.229 Å, intensity 37, hkl 0 2 2
d = 1.690 Å, intensity 45, hkl 2 1 3
d = 1.600 Å, intensity 27, hkl 2 3 1
d = 1.322 Å, intensity 19, hkl 2 3 3

Atomic structure:
Cell lengths 5.8038, 6.0084, 6.6462 Å; angles 90.00, 90.00, 90.00 degrees
Space group Immm (No. 71)
Unique sites:
Si (0.0000, 0.0000, 0.0000) x2
Ag (0.2401, 0.0000, 0.5000) x4
Pt (0.0000, 0.5000, 0.5000) x2
O (0.2141, 0.0000, 0.1756) x8

=====

# 9
Theoretical XRD peak list of HfAl4Rh for Cu Kα (weighted mean of Kα1 and Kα2), from the GGA-PBE geometry in Alexandria.

Main lines, by angle (2θ = 10–90°):
d = 4.545 Å, intensity 100, hkl 2 0 0
d = 3.214 Å, intensity 44, hkl 2 2 0
d = 2.285 Å, intensity 55, hkl 0 2 4
d = 2.272 Å, intensity 24, hkl 4 0 0
d = 2.042 Å, intensity 39, hkl 2 2 4
d = 2.033 Å, intensity 46, hkl 2 4 0
d = 1.723 Å, intensity 18, hkl 4 0 4
d = 1.611 Å, intensity 21, hkl 4 2 4
d = 1.373 Å, intensity 14, hkl 4 4 4
d = 1.314 Å, intensity 12, hkl 6 0 4

Atomic structure:
Cell lengths 9.0854, 9.0942, 10.5756 Å; angles 90.00, 90.00, 90.00 degrees
Space group Fmmm (No. 69)
Unique sites:
Hf (0.2500, 0.2500, 0.0000) x8
Al (0.0000, 0.1504, 0.1501) x16
Al (0.1507, 0.0000, 0.3502) x16
Rh (0.2500, 0.2500, 0.2500) x8

=====

# 10
Theoretical XRD peak list of LiHo3Tm3Se8 for Cu Kα (weighted mean of Kα1 and Kα2), from the GGA-PBE geometry in Alexandria.

Main lines, by angle (2θ = 10–90°):
d = 5.676 Å, intensity 21, hkl 0 1 2
d = 4.014 Å, intensity 19, hkl 1 1 0
d = 3.277 Å, intensity 9, hkl 0 0 6
d = 2.838 Å, intensity 100, hkl 0 2 4
d = 2.538 Å, intensity 12, hkl 1 2 2
d = 2.007 Å, intensity 74, hkl 2 2 0
d = 1.639 Å, intensity 26, hkl 4 0 4
d = 1.419 Å, intensity 12, hkl 0 4 8
d = 1.269 Å, intensity 33, hkl 2 4 4
d = 1.158 Å, intensity 19, hkl 6 0 0

Atomic structure:
Cell lengths 8.0233, 8.0233, 19.6827 Å; angles 90.00, 90.00, 120.00 degrees
Space group R-3m (No. 166, hexagonal axes)
Unique sites:
Li (0.0000, 0.0000, 0.0000) x3
Ho (0.0000, 0.5000, 0.5000) x9
Tm (0.0000, 0.5000, 0.0000) x9
Se (0.0000, 0.0000, 0.2510) x6
Se (0.0015, 0.5008, 0.7485) x18

=====

# 11
Theoretical XRD peak list of Li2SiPt5 for Cu Kα (weighted mean of Kα1 and Kα2), from the GGA-PBE geometry in Alexandria.

Main lines, by angle (2θ = 10–90°):
d = 3.731 Å, intensity 25, hkl 1 2 0
d = 3.064 Å, intensity 23, hkl 1 1 1
d = 2.907 Å, intensity 16, hkl 1 3 0
d = 2.728 Å, intensity 37, hkl 1 2 1
d = 2.230 Å, intensity 32, hkl 2 0 1
d = 2.177 Å, intensity 100, hkl 0 4 1
d = 2.121 Å, intensity 24, hkl 2 3 0
d = 1.999 Å, intensity 28, hkl 0 0 2
d = 1.866 Å, intensity 17, hkl 2 4 0
d = 1.455 Å, intensity 16, hkl 2 3 2

Atomic structure:
Cell lengths 5.3720, 10.3721, 3.9985 Å; angles 90.00, 90.00, 90.00 degrees
Space group Pbam (No. 55)
Unique sites:
Li (0.1654, 0.1401, 0.0000) x4
Si (0.0000, 0.5000, 0.5000) x2
Pt (0.0000, 0.0000, 0.5000) x2
Pt (0.0893, 0.7338, 0.5000) x4
Pt (0.1834, 0.3952, 0.0000) x4

=====

# 12
Theoretical XRD peak list of Nd5Sb4As for Cu Kα (weighted mean of Kα1 and Kα2), from the GGA-PBE geometry in Alexandria.

Main lines, by angle (2θ = 10–90°):
d = 3.656 Å, intensity 3, hkl 1 0 5
d = 3.166 Å, intensity 100, hkl 1 1 0
d = 2.239 Å, intensity 76, hkl 2 0 0
d = 1.828 Å, intensity 27, hkl 2 0 10
d = 1.584 Å, intensity 9, hkl 2 2 0
d = 1.581 Å, intensity 4, hkl 0 0 20
d = 1.417 Å, intensity 23, hkl 3 1 0
d = 1.415 Å, intensity 11, hkl 1 1 20
d = 1.293 Å, intensity 25, hkl 3 1 10
d = 1.119 Å, intensity 5, hkl 2 2 20

Atomic structure:
Cell lengths 4.4808, 4.4808, 31.6228 Å; angles 90.00, 90.00, 90.00 degrees
Space group I4/mmm (No. 139)
Unique sites:
Nd (0.0000, 0.0000, 0.0000) x2
Nd (0.0000, 0.0000, 0.2001) x4
Nd (0.0000, 0.0000, 0.4045) x4
Sb (0.0000, 0.0000, 0.0994) x4
Sb (0.0000, 0.0000, 0.3016) x4
As (0.0000, 0.0000, 0.5000) x2

=====

# 13
Theoretical XRD peak list of Rb3DyHo3Te8 for Cu Kα (weighted mean of Kα1 and Kα2), from the GGA-PBE geometry in Alexandria.

Main lines, by angle (2θ = 10–90°):
d = 8.840 Å, intensity 47, hkl 0 0 3
d = 3.302 Å, intensity 100, hkl 0 2 4
d = 2.686 Å, intensity 20, hkl 0 2 7
d = 2.500 Å, intensity 35, hkl 2 0 8
d = 2.199 Å, intensity 36, hkl 2 2 0
d = 2.037 Å, intensity 13, hkl 2 0 11
d = 1.830 Å, intensity 18, hkl 4 0 4
d = 1.651 Å, intensity 10, hkl 0 4 8
d = 1.559 Å, intensity 9, hkl 2 2 12
d = 1.407 Å, intensity 15, hkl 2 4 4

Atomic structure:
Cell lengths 8.7944, 8.7944, 26.5208 Å; angles 90.00, 90.00, 120.00 degrees
Space group R-3m (No. 166, hexagonal axes)
Unique sites:
Rb (0.0000, 0.5000, 0.0000) x9
Dy (0.0000, 0.0000, 0.5000) x3
Ho (0.0000, 0.5000, 0.5000) x9
Te (0.0000, 0.0000, 0.2330) x6
Te (0.0031, 0.5016, 0.7670) x18